The following is a simulated X-ray diffraction stick pattern of PrEr2Co2B2N3. It was derived from a cell relaxed with GGA-PBE, using Cu Kα (weighted mean of Kα1 and Kα2).
Lines closer than 0.1° are merged.

```
PrEr2Co2B2N3
1.0
-1.753 1.753 10.074
1.753 -1.753 10.074
1.753 1.753 -10.074
Pr Er Co B N
1 2 2 2 3
direct
0.000 0.000 0.000
0.373 0.373 0.000
0.627 0.627 0.000
0.250 0.750 0.500
0.750 0.250 0.500
0.196 0.196 0.000
0.804 0.804 0.000
0.122 0.122 0.000
0.500 0.500 0.000
0.878 0.878 0.000
```

Most intense lines, 2θ from 10° to 90°, low angle first:
28.72°, d 3.108, I 100
33.89°, d 2.645, I 67
35.65°, d 2.518, I 49
36.23°, d 2.479, I 39
40.55°, d 2.224, I 42
52.17°, d 1.753, I 35